Structure and computed X-ray powder pattern of NbCr5 (a PBE-relaxed structure; copper Kα).
Intensities are scaled so that the largest is 100.

Peak list (6 most intense, 10 to 90 degrees two-theta, by angle)
| 2theta | Rel. int. |
| --- | --- |
| 43.14 | 26 |
| 43.37 | 100 |
| 43.47 | 24 |
| 62.91 | 15 |
| 79.26 | 14 |
| 79.72 | 20 |

Structure:
```
NbCr5
1.0
4.1940 0.0000 0.0000
0.0000 12.4907 0.0000
0.0000 0.0000 2.9470
Nb Cr
2 10
direct
0.0000 0.0000 0.0000 Nb
0.5000 0.5000 0.0000 Nb
0.0000 0.1746 0.5000 Cr
0.0000 0.3296 0.0000 Cr
0.0000 0.5000 0.5000 Cr
0.0000 0.6704 0.0000 Cr
0.0000 0.8254 0.5000 Cr
0.5000 0.0000 0.5000 Cr
0.5000 0.1704 0.0000 Cr
0.5000 0.3254 0.5000 Cr
0.5000 0.6746 0.5000 Cr
0.5000 0.8296 0.0000 Cr
```